The following is a calculated X-ray diffraction stick pattern of Nd5Sm2ErTh. It was derived from a structure optimized by DFT (GGA-PBE), using Cu Kα X-rays.
No peak broadening, texture or thermal motion is included.

Largest 6 diffraction maxima, sorted by position, 15° ≤ 2θ ≤ 90°:
(1 5 2), 2.870 Å, 31.16 deg, I = 100
(0 8 0), 2.744 Å, 32.64 deg, I = 21
(2 0 0), 2.724 Å, 32.88 deg, I = 30
(0 0 4), 2.648 Å, 33.85 deg, I = 25
(2 0 4), 1.899 Å, 47.91 deg, I = 19
(3 5 2), 1.599 Å, 57.64 deg, I = 18

Structure:
Lattice parameters (Å, degrees): 5.448 21.932 10.586 90.00 90.00 90.00
Space group Cmcm (No. 63)
One atom of each set of equivalent atoms:
Nd 0.000 0.000 0.000
Nd 0.000 0.127 0.250
Nd 0.000 0.223 0.558
Nd 0.000 0.499 0.750
Sm 0.000 0.387 0.002
Er 0.000 0.102 0.750
Th 0.000 0.288 0.250



The following is a calculated X-ray diffraction stick pattern of Tb5Tl2Bi2. It was derived from a structure optimized by DFT (GGA-PBE), using Cu Kα X-rays.
No peak broadening, texture or thermal motion is included.

Largest 6 diffraction maxima, sorted by position, 15° ≤ 2θ ≤ 90°:
(3 1 2), 3.028 Å, 29.50 deg, I = 75
(0 2 2), 2.920 Å, 30.61 deg, I = 39
(4 2 0), 2.861 Å, 31.26 deg, I = 50
(4 2 1), 2.704 Å, 33.14 deg, I = 65
(1 3 1), 2.577 Å, 34.81 deg, I = 100
(5 3 1), 2.017 Å, 44.95 deg, I = 41

Structure:
Lattice parameters (Å, degrees): 15.869 8.261 8.259 90.00 90.00 90.00
Space group Cmce (No. 64)
One atom of each set of equivalent atoms:
Tb 0.000 0.000 0.000
Tb 0.134 0.169 0.334
Tl 0.000 0.133 0.632
Bi 0.205 0.000 0.000



The following is a calculated X-ray diffraction stick pattern of Cs2TlSnBi2. It was derived from a structure optimized by DFT (GGA-PBE), using Cu Kα X-rays.
No peak broadening, texture or thermal motion is included.

Largest 6 diffraction maxima, sorted by position, 15° ≤ 2θ ≤ 90°:
(1 4 1), 3.408 Å, 26.15 deg, I = 97
(2 4 0), 2.932 Å, 30.49 deg, I = 56
(0 4 2), 2.916 Å, 30.66 deg, I = 56
(2 0 2), 2.847 Å, 31.42 deg, I = 100
(1 4 3), 2.178 Å, 41.45 deg, I = 29
(1 8 1), 1.992 Å, 45.53 deg, I = 30

Structure:
Lattice parameters (Å, degrees): 8.096 17.012 8.012 90.00 90.00 90.00
Space group Ibam (No. 72)
One atom of each set of equivalent atoms:
Cs 0.244 0.166 0.000
Tl 0.000 0.000 0.250
Sn 0.000 0.500 0.250
Bi 0.233 0.411 0.000



The following is a calculated X-ray diffraction stick pattern of Y5Al2Hg. It was derived from a structure optimized by DFT (GGA-PBE), using Cu Kα X-rays.
No peak broadening, texture or thermal motion is included.

Largest 6 diffraction maxima, sorted by position, 15° ≤ 2θ ≤ 90°:
(1 1 0), 5.446 Å, 16.28 deg, I = 41
(1 1 4), 3.061 Å, 29.17 deg, I = 76
(2 1 3), 2.824 Å, 31.68 deg, I = 91
(2 2 0), 2.723 Å, 32.89 deg, I = 39
(2 0 4), 2.668 Å, 33.58 deg, I = 100
(3 1 0), 2.435 Å, 36.91 deg, I = 88

Structure:
Lattice parameters (Å, degrees): 7.702 7.702 14.804 90.00 90.00 90.00
Space group I4/mcm (No. 140)
One atom of each set of equivalent atoms:
Y 0.000 0.000 0.000
Y 0.170 0.330 0.147
Al 0.121 0.379 0.500
Hg 0.000 0.000 0.250



The following is a calculated X-ray diffraction stick pattern of Ce5Ga2Bi2. It was derived from a structure optimized by DFT (GGA-PBE), using Cu Kα X-rays.
No peak broadening, texture or thermal motion is included.

Largest 6 diffraction maxima, sorted by position, 15° ≤ 2θ ≤ 90°:
(3 1 2), 3.005 Å, 29.73 deg, I = 32
(0 2 2), 2.896 Å, 30.88 deg, I = 56
(4 2 0), 2.843 Å, 31.47 deg, I = 100
(5 1 1), 2.774 Å, 32.28 deg, I = 44
(4 2 1), 2.687 Å, 33.34 deg, I = 37
(1 3 1), 2.560 Å, 35.05 deg, I = 29

Structure:
Lattice parameters (Å, degrees): 15.797 8.207 8.175 90.00 90.00 90.00
Space group Cmce (No. 64)
One atom of each set of equivalent atoms:
Ce 0.000 0.000 0.000
Ce 0.127 0.179 0.322
Ga 0.000 0.116 0.616
Bi 0.212 0.000 0.000



The following is a calculated X-ray diffraction stick pattern of La5Zn2Os. It was derived from a structure optimized by DFT (GGA-PBE), using Cu Kα X-rays.
No peak broadening, texture or thermal motion is included.

Largest 6 diffraction maxima, sorted by position, 15° ≤ 2θ ≤ 90°:
(1 2 1), 3.417 Å, 26.08 deg, I = 43
(2 1 1), 3.014 Å, 29.64 deg, I = 87
(1 4 0), 2.821 Å, 31.72 deg, I = 43
(2 2 1), 2.765 Å, 32.38 deg, I = 100
(0 4 1), 2.552 Å, 35.17 deg, I = 47
(0 0 2), 2.414 Å, 37.25 deg, I = 69

Structure:
Lattice parameters (Å, degrees): 8.152 12.025 4.827 90.00 90.00 90.00
Space group Pbam (No. 55)
One atom of each set of equivalent atoms:
La 0.000 0.000 0.000
La 0.150 0.297 0.000
La 0.184 0.574 0.500
Zn 0.069 0.837 0.500
Os 0.000 0.500 0.000



The following is a calculated X-ray diffraction stick pattern of PaTl2IF8. It was derived from a structure optimized by DFT (GGA-PBE), using Cu Kα X-rays.
No peak broadening, texture or thermal motion is included.

Largest 6 diffraction maxima, sorted by position, 15° ≤ 2θ ≤ 90°:
(1 1 2), 3.629 Å, 24.53 deg, I = 100
(2 0 0), 3.104 Å, 28.76 deg, I = 22
(2 0 4), 2.236 Å, 40.33 deg, I = 36
(2 2 0), 2.195 Å, 41.12 deg, I = 17
(1 1 6), 1.931 Å, 47.06 deg, I = 17
(3 1 2), 1.878 Å, 48.47 deg, I = 32

Structure:
Lattice parameters (Å, degrees): 6.208 6.208 12.900 90.00 90.00 90.00
Space group I-4m2 (No. 119)
One atom of each set of equivalent atoms:
Pa 0.000 0.000 0.000
Tl 0.000 0.000 0.500
Tl 0.000 0.500 0.250
I 0.000 0.500 0.750
F 0.207 0.208 0.100



The following is a calculated X-ray diffraction stick pattern of KPm2Cl8. It was derived from a structure optimized by DFT (GGA-PBE), using Cu Kα X-rays.
No peak broadening, texture or thermal motion is included.

Largest 6 diffraction maxima, sorted by position, 15° ≤ 2θ ≤ 90°:
(0 0 1), 5.314 Å, 16.68 deg, I = 99
(2 0 0), 4.307 Å, 20.62 deg, I = 100
(0 2 1), 4.206 Å, 21.12 deg, I = 51
(2 4 0), 2.689 Å, 33.33 deg, I = 45
(1 5 1), 2.351 Å, 38.28 deg, I = 54
(3 3 2), 1.795 Å, 50.87 deg, I = 41

Structure:
Lattice parameters (Å, degrees): 8.618 13.762 5.314 90.00 90.00 90.00
Space group Cmmm (No. 65)
One atom of each set of equivalent atoms:
K 0.000 0.000 0.000
Pm 0.000 0.302 0.500
Cl 0.000 0.256 0.000
Cl 0.000 0.500 0.247
Cl 0.193 0.135 0.500



The following is a calculated X-ray diffraction stick pattern of TlZnInO4. It was derived from a structure optimized by DFT (GGA-PBE), using Cu Kα X-rays.
No peak broadening, texture or thermal motion is included.

Largest 6 diffraction maxima, sorted by position, 15° ≤ 2θ ≤ 90°:
(1 0 1), 5.309 Å, 16.70 deg, I = 49
(1 2 1), 2.772 Å, 32.29 deg, I = 100
(2 0 2), 2.654 Å, 33.77 deg, I = 41
(2 2 0), 2.297 Å, 39.23 deg, I = 21
(3 2 1), 1.768 Å, 51.70 deg, I = 18
(4 0 0), 1.625 Å, 56.62 deg, I = 43

Structure:
Lattice parameters (Å, degrees): 6.495 6.496 9.213 90.00 90.00 90.00
Space group Imma (No. 74)
One atom of each set of equivalent atoms:
Tl 0.000 0.000 0.000
Zn 0.000 0.250 0.376
In 0.250 0.250 0.750
O 0.000 0.015 0.750
O 0.249 0.250 0.990



The following is a calculated X-ray diffraction stick pattern of TiV12Mo6. It was derived from a structure optimized by DFT (GGA-PBE), using Cu Kα X-rays.
No peak broadening, texture or thermal motion is included.

Largest 6 diffraction maxima, sorted by position, 15° ≤ 2θ ≤ 90°:
(-2 1 1), 2.177 Å, 41.48 deg, I = 35
(2 1 2), 2.171 Å, 41.59 deg, I = 34
(1 -2 2), 2.163 Å, 41.76 deg, I = 100
(1 3 0), 2.152 Å, 41.97 deg, I = 33
(1 0 5), 1.532 Å, 60.43 deg, I = 21
(3 -1 4), 1.254 Å, 75.84 deg, I = 10

Structure:
Lattice parameters (Å, degrees): 5.103 6.810 7.954 84.91 86.63 82.56
Space group P-1 (No. 2)
One atom of each set of equivalent atoms:
Ti 0.000 0.000 0.000
V 0.051 0.318 0.786
V 0.162 0.944 0.366
V 0.259 0.580 0.951
V 0.322 0.897 0.735
V 0.426 0.525 0.312
V 0.483 0.835 0.102
Mo 0.105 0.635 0.581
Mo 0.215 0.264 0.155
Mo 0.367 0.209 0.530



The following is a calculated X-ray diffraction stick pattern of Pa2B3Rh. It was derived from a structure optimized by DFT (GGA-PBE), using Cu Kα X-rays.
No peak broadening, texture or thermal motion is included.

Largest 6 diffraction maxima, sorted by position, 15° ≤ 2θ ≤ 90°:
(0 2 0), 3.822 Å, 23.27 deg, I = 20
(0 0 4), 3.134 Å, 28.48 deg, I = 56
(2 2 2), 2.423 Å, 37.10 deg, I = 100
(4 0 0), 1.809 Å, 50.44 deg, I = 26
(0 2 8), 1.450 Å, 64.24 deg, I = 20
(4 2 8), 1.131 Å, 85.90 deg, I = 19

Structure:
Lattice parameters (Å, degrees): 7.240 7.644 12.532 90.00 90.00 90.00
Space group Fmmm (No. 69)
One atom of each set of equivalent atoms:
Pa 0.000 0.242 0.000
Pa 0.250 0.250 0.250
B 0.000 0.000 0.358
B 0.216 0.000 0.428
Rh 0.000 0.000 0.171



The following is a calculated X-ray diffraction stick pattern of Na4LiZr3S8. It was derived from a structure optimized by DFT (GGA-PBE), using Cu Kα X-rays.
No peak broadening, texture or thermal motion is included.

Largest 6 diffraction maxima, sorted by position, 15° ≤ 2θ ≤ 90°:
(0 2 4), 2.727 Å, 32.84 deg, I = 100
(2 0 8), 1.982 Å, 45.79 deg, I = 34
(2 2 0), 1.879 Å, 48.45 deg, I = 32
(4 0 4), 1.547 Å, 59.77 deg, I = 16
(2 2 12), 1.246 Å, 76.42 deg, I = 12
(2 4 4), 1.194 Å, 80.40 deg, I = 13

Structure:
Lattice parameters (Å, degrees): 7.5159 7.5159 19.9854 90.00 90.00 120.00
Space group R-3m (No. 166, hexagonal axes)
One atom of each set of equivalent atoms:
Na 0.0000 0.0000 0.0000
Na 0.0000 0.5000 0.0000
Li 0.0000 0.0000 0.5000
Zr 0.0000 0.5000 0.5000
S 0.0000 0.0000 0.2413
S 0.0067 0.5034 0.7608